For Tl2RhBr5, a structure optimized by DFT (GGA-PBE) gives the calculated X-ray diffraction stick pattern in this record (Cu Kα).

Crystal structure
Unit cell a=7.1212 b=7.1212 c=7.1212 alpha=114.54 beta=114.54 gamma=99.76
Sites, in units of the cell vectors:
Tl (0.0000, 0.5000, 0.5000)
Tl (0.5000, 0.0000, 0.5000)
Rh (0.2467, 0.2467, 0.0000)
Br (0.0348, 0.0348, 0.5444)
Br (0.0348, 0.4904, 0.0000)
Br (0.4904, 0.0348, 0.0000)
Br (0.4904, 0.4904, 0.4556)
Br (0.9870, 0.9870, 0.0000)

Peak list (8 most intense, 2θ from 15° to 90°, by angle)
15.0 deg, rel. 32.5
25.4 deg, rel. 60.7
30.3 deg, rel. 100.0
32.9 deg, rel. 67.6
42.0 deg, rel. 28.9
47.2 deg, rel. 23.2
52.1 deg, rel. 35.1
57.1 deg, rel. 28.8

For Al5HO8, a structure optimized by DFT (GGA-PBE) gives the calculated X-ray diffraction stick pattern in this record (Cu Kα).

Crystal structure
Unit cell a=5.6330 b=5.6330 c=8.8447 alpha=90.00 beta=90.00 gamma=120.00
Sites, in units of the cell vectors:
Al (0.1657, 0.3315, 0.0000)
Al (0.1657, 0.8343, 0.0000)
Al (0.3315, 0.1657, 0.5000)
Al (0.3333, 0.6667, 0.2938)
Al (0.3333, 0.6667, 0.6816)
Al (0.6667, 0.3333, 0.1816)
Al (0.6667, 0.3333, 0.7938)
Al (0.6685, 0.8343, 0.0000)
Al (0.8343, 0.1657, 0.5000)
Al (0.8343, 0.6685, 0.5000)
H (0.0000, 0.0000, 0.2309)
H (0.0000, 0.0000, 0.7309)
O (0.0000, 0.0000, 0.1190)
O (0.0000, 0.0000, 0.6190)
O (0.0290, 0.5145, 0.1357)
O (0.1660, 0.3319, 0.3974)
O (0.1660, 0.8340, 0.3974)
O (0.3319, 0.1660, 0.8974)
O (0.3333, 0.6667, 0.8888)
O (0.4855, 0.5145, 0.1357)
O (0.4855, 0.9710, 0.1357)
O (0.5145, 0.0290, 0.6357)
O (0.5145, 0.4855, 0.6357)
O (0.6667, 0.3333, 0.3888)
O (0.6681, 0.8340, 0.3974)
O (0.8340, 0.1660, 0.8974)
O (0.8340, 0.6681, 0.8974)
O (0.9710, 0.4855, 0.6357)

Peak list (8 most intense, 2θ from 15° to 90°, by angle)
27.2 deg, rel. 54.3
35.6 deg, rel. 56.8
37.9 deg, rel. 70.2
38.3 deg, rel. 41.8
42.3 deg, rel. 100.0
48.4 deg, rel. 42.9
65.1 deg, rel. 75.4
66.4 deg, rel. 77.7

For HoTmTc4, a structure optimized by DFT (GGA-PBE) gives the calculated X-ray diffraction stick pattern in this record (Cu Kα).

Crystal structure
Unit cell a=5.3814 b=5.3814 c=5.3814 alpha=60.00 beta=60.00 gamma=60.00
Sites, in units of the cell vectors:
Ho (0.0000, 0.0000, 0.0000)
Tm (0.2500, 0.2500, 0.2500)
Tc (0.1251, 0.6250, 0.6250)
Tc (0.6250, 0.1251, 0.6250)
Tc (0.6250, 0.6250, 0.1251)
Tc (0.6250, 0.6250, 0.6250)

Peak list (8 most intense, 2θ from 15° to 90°, by angle)
33.3 deg, rel. 45.2
39.3 deg, rel. 100.0
41.1 deg, rel. 25.0
59.5 deg, rel. 17.3
63.5 deg, rel. 32.0
69.9 deg, rel. 25.4
83.3 deg, rel. 11.3
84.4 deg, rel. 8.9

Please write out number 3 again, unchanged.
For HoTmTc4, a structure optimized by DFT (GGA-PBE) gives the calculated X-ray diffraction stick pattern in this record (Cu Kα).

Crystal structure
Unit cell a=5.3814 b=5.3814 c=5.3814 alpha=60.00 beta=60.00 gamma=60.00
Sites, in units of the cell vectors:
Ho (0.0000, 0.0000, 0.0000)
Tm (0.2500, 0.2500, 0.2500)
Tc (0.1251, 0.6250, 0.6250)
Tc (0.6250, 0.1251, 0.6250)
Tc (0.6250, 0.6250, 0.1251)
Tc (0.6250, 0.6250, 0.6250)

Peak list (8 most intense, 2θ from 15° to 90°, by angle)
33.3 deg, rel. 45.2
39.3 deg, rel. 100.0
41.1 deg, rel. 25.0
59.5 deg, rel. 17.3
63.5 deg, rel. 32.0
69.9 deg, rel. 25.4
83.3 deg, rel. 11.3
84.4 deg, rel. 8.9